Record 1
The following is a simulated powder diffractogram of Na4Eu2SnP4. It was derived from a structure optimized by DFT (GGA-PBE), using copper Kα.
Neutral-atom scattering factors, no anomalous dispersion.

Main lines, low angle first (10° ≤ 2θ ≤ 80°):
2theta  d/Å  I (rel.)
10.7  8.246  1000
16.0  5.525  327
21.5  4.124  159
28.6  3.117  174
30.8  2.902  144
31.1  2.876  138
31.4  2.852  223
31.7  2.825  123
32.4  2.763  209
32.9  2.719  214
33.5  2.675  242
37.8  2.381  472

```
data_Na4Eu2SnP4
_symmetry_space_group_name_H-M 'C 1 c 1'
_symmetry_Int_Tables_number 9
_symmetry_space_group_name_Hall 'C -2yc'
_cell_length_a 9.5254
_cell_length_b 16.5049
_cell_length_c 7.2343
_cell_angle_alpha 90.00
_cell_angle_beta 92.14
_cell_angle_gamma 90.00
loop_
_atom_site_label
_atom_site_fract_x
_atom_site_fract_y
_atom_site_fract_z
Na1 0.0000 0.0712 0.0000
Na2 0.0845 0.4238 0.5534
Na3 0.0966 0.2306 0.6998
Na4 0.3009 0.3571 0.0324
Eu1 0.0016 0.2623 0.2063
Eu2 0.2870 0.0253 0.6921
Sn1 0.3026 0.1678 0.3169
P1 0.0122 0.4096 0.9515
P2 0.0764 0.0930 0.4064
P3 0.2886 0.3115 0.4275
P4 0.3007 0.1593 0.9625
```

---

Record 2
The following is a simulated powder diffractogram of AcNd4Tm15. It was derived from a structure optimized by DFT (GGA-PBE), using copper Kα.
Neutral-atom scattering factors, no anomalous dispersion.

Main lines, low angle first (10° ≤ 2θ ≤ 80°):
2theta  d/Å  I (rel.)
30.8  2.900  1000
35.7  2.516  341
35.9  2.503  165
51.4  1.779  122
51.5  1.774  237
61.1  1.517  289
61.4  1.511  136
64.2  1.450  122
75.6  1.258  39
76.1  1.251  18

```
data_AcNd4Tm15
_symmetry_space_group_name_H-M 'P 4/m m m'
_symmetry_Int_Tables_number 123
_symmetry_space_group_name_Hall '-P 4 2'
_cell_length_a 5.0327
_cell_length_b 5.0327
_cell_length_c 25.0256
_cell_angle_alpha 90.00
_cell_angle_beta 90.00
_cell_angle_gamma 90.00
loop_
_atom_site_label
_atom_site_fract_x
_atom_site_fract_y
_atom_site_fract_z
Ac1 0.0000 0.0000 0.0000
Nd1 0.0000 0.0000 0.2021
Nd2 0.0000 0.0000 0.4009
Tm1 0.0000 0.5000 0.1042
Tm2 0.0000 0.5000 0.3019
Tm3 0.0000 0.5000 0.5000
Tm4 0.5000 0.5000 0.0000
Tm5 0.5000 0.5000 0.2027
Tm6 0.5000 0.5000 0.4009
```